[1]
Structure and simulated powder diffractogram of Tb5HoTm4 (DFT lattice parameters and positions (PBE); Cu Ka).
Lines closer than 0.1° are merged.

Main lines, by angle (2θ = 15–90°):
30.30°, I 24, (3 1 -1); 30.65°, I 25, (3 1 0); 31.86°, I 60, (2 0 -4); 32.10°, I 34, (1 1 2); 32.26°, I 100, (4 0 2); 32.67°, I 55, (6 0 -2); 33.26°, I 26, (3 1 1); 47.89°, I 17, (7 1 0); 52.24°, I 28, (0 2 0); 62.54°, I 19, (2 2 -4)

Atomic structure:
```
data_Tb5HoTm4
_cell_length_a 16.723
_cell_length_b 3.500
_cell_length_c 11.236
_cell_angle_alpha 90.00
_cell_angle_beta 108.78
_cell_angle_gamma 90.00
_symmetry_space_group_name_H-M 'C 1 2/m 1'
_symmetry_Int_Tables_number 12
_symmetry_space_group_name_Hall '-C 2y'
loop_
_atom_site_label
_atom_site_type_symbol
_atom_site_fract_x
_atom_site_fract_y
_atom_site_fract_z
Tb1 Tb 0.000 0.000 0.000
Tb2 Tb 0.189 0.500 0.076
Tb3 Tb 0.212 0.500 0.618
Ho1 Ho 0.000 0.000 0.500
Tm1 Tm 0.083 0.500 0.293
Tm2 Tm 0.105 0.000 0.796
```

[2]
Structure and simulated powder diffractogram of Mn8CN2 (DFT lattice parameters and positions (PBE); Cu Ka).
Lines closer than 0.1° are merged.

Main lines, by angle (2θ = 15–90°):
39.78°, I 18, (1 1 2); 40.83°, I 83, (1 2 0); 41.29°, I 46, (0 2 2); 41.58°, I 100, (1 -2 0); 43.61°, I 58, (2 0 0); 43.75°, I 14, (0 1 -2); 46.29°, I 13, (1 2 2); 57.73°, I 16, (0 2 -2); 62.73°, I 16, (-2 2 2); 69.55°, I 13, (0 1 4)

Atomic structure:
```
data_Mn8CN2
_cell_length_a 4.153
_cell_length_b 5.415
_cell_length_c 5.420
_cell_angle_alpha 72.26
_cell_angle_beta 88.49
_cell_angle_gamma 88.47
_symmetry_space_group_name_H-M 'P -1'
_symmetry_Int_Tables_number 2
_symmetry_space_group_name_Hall '-P 1'
loop_
_atom_site_label
_atom_site_type_symbol
_atom_site_fract_x
_atom_site_fract_y
_atom_site_fract_z
Mn1 Mn 0.217 0.331 0.328
Mn2 Mn 0.242 0.396 0.814
Mn3 Mn 0.242 0.816 0.397
Mn4 Mn 0.255 0.874 0.877
C1 C 0.500 0.500 0.500
N1 N 0.246 0.115 0.115
```